1.
Simulated X-ray powder pattern
Compound: PrPPt
Radiation: CuKα
Structure: a GGA-PBE-relaxed structure
Intensities are scaled so that the largest is 100.

Principal peaks in the range 10° ≤ 2θ ≤ 90°, low angle first:
Position (°2θ)	I_rel
27.05	94
30.99	78
32.43	35
36.07	100
36.89	32
41.73	34
45.47	27
52.88	35

```
data_PrPPt
_chemical_formula_sum 'Pr2 P2 Pt2'
_cell_length_a 5.795
_cell_length_b 5.795
_cell_length_c 5.772
_cell_angle_alpha 90.00
_cell_angle_beta 90.00
_cell_angle_gamma 136.14
_space_group_name_H-M_alt 'P 1'
_space_group_IT_number 1
_space_group_name_Hall 'P 1'
loop_
_atom_site_label
_atom_site_type_symbol
_atom_site_fract_x
_atom_site_fract_y
_atom_site_fract_z
Pr1 Pr 0.138 0.862 0.750
Pr2 Pr 0.862 0.138 0.250
P1 P 0.151 0.849 0.250
P2 P 0.849 0.151 0.750
Pt1 Pt 0.426 0.574 0.750
Pt2 Pt 0.574 0.426 0.250
```

2.
Simulated X-ray powder pattern
Compound: Pr2P2Pt3
Radiation: CuKα
Structure: a GGA-PBE-relaxed structure
Intensities are scaled so that the largest is 100.

Principal peaks in the range 10° ≤ 2θ ≤ 90°, low angle first:
Position (°2θ)	I_rel
29.91	33
33.62	35
34.18	100
34.80	24
37.52	28
37.85	44
40.35	68
44.84	37

```
data_Pr2P2Pt3
_chemical_formula_sum 'Pr2 P2 Pt3'
_cell_length_a 5.557
_cell_length_b 5.557
_cell_length_c 7.132
_cell_angle_alpha 114.29
_cell_angle_beta 114.29
_cell_angle_gamma 42.66
_space_group_name_H-M_alt 'P 1'
_space_group_IT_number 1
_space_group_name_Hall 'P 1'
loop_
_atom_site_label
_atom_site_type_symbol
_atom_site_fract_x
_atom_site_fract_y
_atom_site_fract_z
Pr1 Pr 0.135 0.135 0.269
Pr2 Pr 0.865 0.865 0.731
P1 P 0.151 0.151 0.715
P2 P 0.849 0.849 0.285
Pt1 Pt 0.373 0.373 0.063
Pt2 Pt 0.500 0.500 0.500
Pt3 Pt 0.627 0.627 0.937
```

3.
Simulated X-ray powder pattern
Compound: PrPPt4
Radiation: CuKα
Structure: a GGA-PBE-relaxed structure
Intensities are scaled so that the largest is 100.

Principal peaks in the range 10° ≤ 2θ ≤ 90°, low angle first:
Position (°2θ)	I_rel
34.89	100
35.18	19
36.60	85
44.16	41
44.65	30
64.61	27
66.90	19
77.28	16

```
data_PrPPt4
_chemical_formula_sum 'Pr2 P2 Pt8'
_cell_length_a 7.971
_cell_length_b 7.971
_cell_length_c 6.807
_cell_angle_alpha 90.00
_cell_angle_beta 90.00
_cell_angle_gamma 150.50
_space_group_name_H-M_alt 'P 1'
_space_group_IT_number 1
_space_group_name_Hall 'P 1'
loop_
_atom_site_label
_atom_site_type_symbol
_atom_site_fract_x
_atom_site_fract_y
_atom_site_fract_z
Pr1 Pr 0.104 0.896 0.750
Pr2 Pr 0.896 0.104 0.250
P1 P 0.240 0.760 0.250
P2 P 0.760 0.240 0.750
Pt1 Pt 0.087 0.913 0.250
Pt2 Pt 0.315 0.685 0.544
Pt3 Pt 0.315 0.685 0.956
Pt4 Pt 0.500 0.500 0.000
Pt5 Pt 0.500 0.500 0.500
Pt6 Pt 0.685 0.315 0.044
Pt7 Pt 0.685 0.315 0.456
Pt8 Pt 0.913 0.087 0.750
```

4.
Simulated X-ray powder pattern
Compound: Pr5PuP6
Radiation: CuKα
Structure: a GGA-PBE-relaxed structure
Intensities are scaled so that the largest is 100.

Principal peaks in the range 10° ≤ 2θ ≤ 90°, low angle first:
Position (°2θ)	I_rel
26.19	85
30.33	100
43.43	74
51.43	43
53.89	26
69.53	18
71.61	33
79.71	25

```
data_Pr5PuP6
_chemical_formula_sum 'Pr5 Pu1 P6'
_cell_length_a 7.217
_cell_length_b 7.217
_cell_length_c 7.220
_cell_angle_alpha 99.61
_cell_angle_beta 99.61
_cell_angle_gamma 119.98
_space_group_name_H-M_alt 'P 1'
_space_group_IT_number 1
_space_group_name_Hall 'P 1'
loop_
_atom_site_label
_atom_site_type_symbol
_atom_site_fract_x
_atom_site_fract_y
_atom_site_fract_z
Pr1 Pr 0.000 0.000 0.000
Pr2 Pr 0.166 0.834 0.500
Pr3 Pr 0.332 0.668 0.000
Pr4 Pr 0.668 0.332 0.000
Pr5 Pr 0.834 0.166 0.500
Pu1 Pu 0.500 0.500 0.500
P1 P 0.096 0.419 0.256
P2 P 0.258 0.258 0.744
P3 P 0.419 0.096 0.256
P4 P 0.581 0.904 0.744
P5 P 0.742 0.742 0.256
P6 P 0.904 0.581 0.744
```

5.
Simulated X-ray powder pattern
Compound: PrP2Rh2
Radiation: CuKα
Structure: a GGA-PBE-relaxed structure
Intensities are scaled so that the largest is 100.

Principal peaks in the range 10° ≤ 2θ ≤ 90°, low angle first:
Position (°2θ)	I_rel
31.61	40
35.28	89
35.61	100
43.20	71
52.39	23
56.95	44
62.75	23
74.28	23

```
data_PrP2Rh2
_chemical_formula_sum 'Pr2 P4 Rh4'
_cell_length_a 4.188
_cell_length_b 4.188
_cell_length_c 9.608
_cell_angle_alpha 90.00
_cell_angle_beta 90.00
_cell_angle_gamma 90.00
_space_group_name_H-M_alt 'P 1'
_space_group_IT_number 1
_space_group_name_Hall 'P 1'
loop_
_atom_site_label
_atom_site_type_symbol
_atom_site_fract_x
_atom_site_fract_y
_atom_site_fract_z
Pr1 Pr 0.250 0.250 0.242
Pr2 Pr 0.750 0.750 0.758
P1 P 0.250 0.250 0.638
P2 P 0.250 0.750 0.000
P3 P 0.750 0.250 0.000
P4 P 0.750 0.750 0.362
Rh1 Rh 0.250 0.250 0.888
Rh2 Rh 0.250 0.750 0.500
Rh3 Rh 0.750 0.250 0.500
Rh4 Rh 0.750 0.750 0.112
```

6.
Simulated X-ray powder pattern
Compound: Pr2P2Rh
Radiation: CuKα
Structure: a GGA-PBE-relaxed structure
Intensities are scaled so that the largest is 100.

Principal peaks in the range 10° ≤ 2θ ≤ 90°, low angle first:
Position (°2θ)	I_rel
23.80	33
31.87	100
32.83	79
33.15	62
37.05	30
42.73	51
43.96	39
65.89	36

```
data_Pr2P2Rh
_chemical_formula_sum 'Pr4 P4 Rh2'
_cell_length_a 5.839
_cell_length_b 5.839
_cell_length_c 10.506
_cell_angle_alpha 110.98
_cell_angle_beta 110.98
_cell_angle_gamma 41.31
_space_group_name_H-M_alt 'P 1'
_space_group_IT_number 1
_space_group_name_Hall 'P 1'
loop_
_atom_site_label
_atom_site_type_symbol
_atom_site_fract_x
_atom_site_fract_y
_atom_site_fract_z
Pr1 Pr 0.089 0.089 0.397
Pr2 Pr 0.301 0.301 0.859
Pr3 Pr 0.699 0.699 0.141
Pr4 Pr 0.911 0.911 0.603
P1 P 0.044 0.044 0.915
P2 P 0.343 0.343 0.362
P3 P 0.657 0.657 0.638
P4 P 0.956 0.956 0.085
Rh1 Rh 0.434 0.434 0.182
Rh2 Rh 0.566 0.566 0.818
```

Please write out number 1 again, unchanged.
Simulated X-ray powder pattern
Compound: PrPPt
Radiation: CuKα
Structure: a GGA-PBE-relaxed structure
Intensities are scaled so that the largest is 100.

Principal peaks in the range 10° ≤ 2θ ≤ 90°, low angle first:
Position (°2θ)	I_rel
27.05	94
30.99	78
32.43	35
36.07	100
36.89	32
41.73	34
45.47	27
52.88	35

```
data_PrPPt
_chemical_formula_sum 'Pr2 P2 Pt2'
_cell_length_a 5.795
_cell_length_b 5.795
_cell_length_c 5.772
_cell_angle_alpha 90.00
_cell_angle_beta 90.00
_cell_angle_gamma 136.14
_space_group_name_H-M_alt 'P 1'
_space_group_IT_number 1
_space_group_name_Hall 'P 1'
loop_
_atom_site_label
_atom_site_type_symbol
_atom_site_fract_x
_atom_site_fract_y
_atom_site_fract_z
Pr1 Pr 0.138 0.862 0.750
Pr2 Pr 0.862 0.138 0.250
P1 P 0.151 0.849 0.250
P2 P 0.849 0.151 0.750
Pt1 Pt 0.426 0.574 0.750
Pt2 Pt 0.574 0.426 0.250
```

Question: Number 1 is which compound?
Answer: PrPPt

Question: Number 1 is which compound?
Answer: PrPPt

Question: Number 1 is which compound?
Answer: PrPPt